(1)
For ThGeO4, a structure optimized by DFT (GGA-PBE) gives the calculated X-ray powder pattern in this record (Cu Kα X-rays).
Neutral-atom scattering factors, no anomalous dispersion.

Structure:
```
ThGeO4
1.0
-2.596 2.596 5.806
2.596 -2.596 5.806
2.596 2.596 -5.806
Th Ge O
2 2 8
Cartesian
0.000 1.298 1.452
2.596 1.298 4.355
2.596 1.298 -1.452
0.000 1.298 7.258
3.924 0.517 -0.538
3.377 0.031 2.365
0.781 0.031 3.441
1.267 2.079 -0.538
1.329 0.517 6.344
1.814 2.565 2.365
-0.781 2.565 3.441
-1.329 2.079 6.344
```

Principal peaks in the range 2θ = 10–90°, in order of rising 2θ:
- 18.72 deg, I = 28
- 28.77 deg, I = 100
- 30.80 deg, I = 16
- 34.56 deg, I = 21
- 39.59 deg, I = 13
- 45.56 deg, I = 9
- 46.96 deg, I = 27
- 49.67 deg, I = 12
- 53.53 deg, I = 19
- 58.42 deg, I = 31
- 59.60 deg, I = 12
- 76.02 deg, I = 14

---

(2)
For KCoAu3C6N6, a structure optimized by DFT (GGA-PBE) gives the calculated X-ray powder pattern in this record (Cu Kα X-rays).
Neutral-atom scattering factors, no anomalous dispersion.

Structure:
```
KCoAu3C6N6
1.0
7.053 0.000 0.000
-3.527 6.108 0.000
0.000 0.000 7.371
K Co Au C N
1 1 3 6 6
Cartesian
0.000 0.000 0.000
3.527 2.036 0.000
0.000 2.112 3.686
-1.697 5.052 3.686
1.697 5.052 3.686
-1.192 2.084 2.086
-2.317 4.034 5.285
1.192 2.084 5.285
-1.126 6.098 2.086
2.317 4.034 2.086
1.126 6.098 5.285
2.738 0.660 1.184
1.941 2.041 6.187
4.316 0.660 6.187
2.730 3.407 1.184
5.113 2.041 1.184
4.324 3.407 6.187
```

Principal peaks in the range 2θ = 10–90°, in order of rising 2θ:
- 12.01 deg, I = 97
- 18.87 deg, I = 82
- 24.15 deg, I = 36
- 28.05 deg, I = 43
- 29.24 deg, I = 71
- 31.71 deg, I = 100
- 38.27 deg, I = 80
- 47.49 deg, I = 29
- 51.85 deg, I = 19
- 57.98 deg, I = 29
- 58.50 deg, I = 23
- 85.08 deg, I = 20

---

(3)
For AgPd, a structure optimized by DFT (GGA-PBE) gives the calculated X-ray powder pattern in this record (Cu Kα X-rays).
Neutral-atom scattering factors, no anomalous dispersion.

Structure:
```
AgPd
1.0
2.859 0.000 0.000
-1.430 2.476 0.000
0.000 0.000 4.700
Ag Pd
1 1
Cartesian
0.000 0.000 0.000
1.430 0.825 2.350
```

Principal peaks in the range 2θ = 10–90°, in order of rising 2θ:
- 36.28 deg, I = 24
- 38.30 deg, I = 27
- 41.21 deg, I = 100
- 53.78 deg, I = 15
- 65.27 deg, I = 16
- 71.22 deg, I = 19
- 77.03 deg, I = 2
- 78.28 deg, I = 19
- 80.17 deg, I = 13
- 82.00 deg, I = 3
- 89.47 deg, I = 4

---

(4)
For Fe5C2, a structure optimized by DFT (GGA-PBE) gives the calculated X-ray powder pattern in this record (Cu Kα X-rays).
Neutral-atom scattering factors, no anomalous dispersion.

Structure:
```
Fe5C2
1.0
5.004 0.000 0.000
0.000 4.523 0.000
-3.481 0.000 11.469
Fe C
20 8
Cartesian
-0.870 0.791 2.867
-2.611 3.732 8.602
-1.908 1.528 7.493
-0.167 2.994 1.759
-0.859 0.748 5.311
-2.600 3.775 11.045
1.614 1.502 0.419
-0.127 3.021 6.153
-0.772 0.776 9.728
0.968 3.747 3.993
1.632 1.413 2.867
-0.109 3.110 8.602
0.554 0.776 7.475
2.295 3.747 1.741
1.650 1.502 5.315
-0.091 3.021 11.050
4.122 0.748 0.424
2.382 3.775 6.158
1.689 1.528 9.710
3.430 2.994 3.975
0.609 0.270 1.558
-1.132 4.253 7.293
0.141 1.955 4.157
-1.600 2.568 9.891
3.123 1.955 1.578
1.382 2.568 7.312
2.655 0.270 4.176
0.914 4.253 9.910
```

Principal peaks in the range 2θ = 10–90°, in order of rising 2θ:
- 39.86 deg, I = 24
- 41.35 deg, I = 32
- 41.53 deg, I = 25
- 44.01 deg, I = 59
- 44.28 deg, I = 100
- 45.07 deg, I = 20
- 45.55 deg, I = 35
- 45.99 deg, I = 30
- 47.77 deg, I = 25
- 50.63 deg, I = 22
- 76.71 deg, I = 19
- 79.51 deg, I = 17